This entry pairs a crystal structure of PaV2PbO8 with its theoretical X-ray powder pattern. Radiation: Cu Kα X-rays. Structure: a structure optimized by DFT (GGA+U).
No peak broadening, texture or thermal motion is included.

The 10 most intense peaks (2θ from 10° to 90°), in order of falling intensity:
- hkl 1 1 0, 2θ = 30.6°, rel. 100
- hkl 1 0 0, 2θ = 17.5°, rel. 80
- hkl 3 0 0, 2θ = 54.4°, rel. 33
- hkl 0 2 2, 2θ = 43.9°, rel. 28
- hkl 2 -1 2, 2θ = 39.9°, rel. 23
- hkl 1 2 0, 2θ = 47.5°, rel. 13
- hkl 0 1 1, 2θ = 21.5°, rel. 12
- hkl 1 1 4, 2θ = 60.9°, rel. 11
- hkl 4 1 0, 2θ = 88.5°, rel. 11
- hkl 4 -3 2, 2θ = 72.3°, rel. 11

Crystal structure
a b c (Å): 5.8472 5.8472 7.1291
angles (deg): 90.00 90.00 120.00
Atoms (fractional coordinates):
Pa: 0.0000 0.0000 0.0000
V: 0.3333 0.6667 0.2827
V: 0.6667 0.3333 0.7173
Pb: 0.0000 0.0000 0.5000
O: 0.1634 0.3290 0.1989
O: 0.1656 0.8366 0.1989
O: 0.3290 0.1656 0.8011
O: 0.3333 0.6667 0.5164
O: 0.6667 0.3333 0.4836
O: 0.6710 0.8344 0.1989
O: 0.8344 0.1634 0.8011
O: 0.8366 0.6710 0.8011